No. 1
The following is a theoretical XRD peak list of Ac2Ni5Rh5. It was derived from the PBE geometry in Alexandria, using λ = 1.5418 Å (Cu Kα).
Neutral-atom scattering factors, no anomalous dispersion.

Cell and atoms:
Cell lengths 4.069, 5.394, 9.084 Å; angles 90.00, 90.00, 90.00 degrees
Positions (direct):
Ac1 0.000 0.000 0.000
Ac2 0.000 0.500 0.500
Ni1 0.000 0.000 0.332
Ni2 0.000 0.000 0.668
Ni3 0.000 0.500 0.153
Ni4 0.000 0.500 0.847
Ni5 0.500 0.500 0.000
Rh1 0.500 0.000 0.500
Rh2 0.500 0.253 0.246
Rh3 0.500 0.253 0.754
Rh4 0.500 0.747 0.246
Rh5 0.500 0.747 0.754

Largest 10 diffraction maxima, most intense first, 2θ = 5–70°:
2theta	I/Imax
40.74	100
29.20	72
38.83	64
40.11	63
29.47	53
44.54	43
60.54	35
33.95	32
39.69	27
64.48	25

***

No. 2
The following is a theoretical XRD peak list of Ac4Ni2Rh. It was derived from the PBE geometry in Alexandria, using λ = 1.5418 Å (Cu Kα).
Neutral-atom scattering factors, no anomalous dispersion.

Cell and atoms:
Cell lengths 7.044, 4.293, 7.715 Å; angles 90.00, 105.61, 90.00 degrees
Positions (direct):
Ac1 0.078 0.000 0.260
Ac2 0.408 0.500 0.747
Ac3 0.592 0.500 0.253
Ac4 0.922 0.000 0.740
Ni1 0.332 0.000 0.002
Ni2 0.668 0.000 0.998
Rh1 0.000 0.500 0.500

Largest 10 diffraction maxima, most intense first, 2θ = 5–70°:
2theta	I/Imax
31.87	100
24.54	47
25.75	47
37.04	39
43.98	37
23.95	37
42.10	25
49.03	23
28.90	18
38.82	17

***

No. 3
The following is a theoretical XRD peak list of Ac8NiRh4. It was derived from the PBE geometry in Alexandria, using λ = 1.5418 Å (Cu Kα).
Neutral-atom scattering factors, no anomalous dispersion.

Cell and atoms:
Cell lengths 10.713, 10.713, 14.060 Å; angles 128.95, 128.95, 23.53 degrees
Positions (direct):
Ac1 0.000 0.000 0.000
Ac2 0.037 0.037 0.748
Ac3 0.296 0.296 0.919
Ac4 0.343 0.343 0.672
Ac5 0.382 0.382 0.420
Ac6 0.632 0.632 0.592
Ac7 0.709 0.709 0.082
Ac8 0.953 0.953 0.257
Ni1 0.860 0.860 0.540
Rh1 0.013 0.013 0.512
Rh2 0.327 0.327 0.159
Rh3 0.530 0.530 0.892
Rh4 0.815 0.815 0.797

Largest 10 diffraction maxima, most intense first, 2θ = 5–70°:
2theta	I/Imax
27.93	100
26.32	98
42.76	74
28.24	60
27.33	54
33.38	49
25.72	45
41.33	43
11.00	42
8.20	40

***

No. 4
The following is a theoretical XRD peak list of Ac8Ni3Rh. It was derived from the PBE geometry in Alexandria, using λ = 1.5418 Å (Cu Kα).
Neutral-atom scattering factors, no anomalous dispersion.

Cell and atoms:
Cell lengths 8.384, 8.384, 8.383 Å; angles 117.59, 117.59, 62.42 degrees
Positions (direct):
Ac1 0.243 0.243 0.256
Ac2 0.245 0.745 0.754
Ac3 0.255 0.255 0.745
Ac4 0.255 0.755 0.246
Ac5 0.745 0.245 0.754
Ac6 0.745 0.745 0.255
Ac7 0.755 0.255 0.246
Ac8 0.757 0.757 0.744
Ni1 0.000 0.000 0.000
Ni2 0.000 0.500 0.500
Ni3 0.500 0.000 0.500
Rh1 0.500 0.500 0.000

Largest 10 diffraction maxima, most intense first, 2θ = 5–70°:
2theta	I/Imax
29.64	100
25.27	74
41.58	41
43.22	35
50.01	24
51.89	22
26.54	21
68.58	19
49.28	13
13.18	13

***

No. 5
The following is a theoretical XRD peak list of AcNiSb2Rh2. It was derived from the PBE geometry in Alexandria, using λ = 1.5418 Å (Cu Kα).
Neutral-atom scattering factors, no anomalous dispersion.

Cell and atoms:
Cell lengths 4.842, 4.842, 5.652 Å; angles 90.00, 90.00, 90.00 degrees
Positions (direct):
Ac1 0.000 0.000 0.000
Ni1 0.000 0.000 0.500
Sb1 0.000 0.500 0.500
Sb2 0.500 0.000 0.500
Rh1 0.500 0.500 0.240
Rh2 0.500 0.500 0.760

Largest 10 diffraction maxima, most intense first, 2θ = 5–70°:
2theta	I/Imax
30.53	100
37.14	96
36.82	89
53.29	61
53.53	33
26.02	29
62.88	26
24.20	20
49.58	16
66.74	15

***

No. 6
The following is a theoretical XRD peak list of Ac2Zn6NiRh. It was derived from the PBE geometry in Alexandria, using λ = 1.5418 Å (Cu Kα).
Neutral-atom scattering factors, no anomalous dispersion.

Cell and atoms:
Cell lengths 6.735, 6.735, 6.735 Å; angles 120.03, 119.89, 90.07 degrees
Positions (direct):
Ac1 0.250 0.250 0.000
Ac2 0.750 0.750 0.000
Zn1 0.256 0.243 0.500
Zn2 0.256 0.756 0.500
Zn3 0.256 0.757 0.013
Zn4 0.744 0.243 0.987
Zn5 0.744 0.244 0.500
Zn6 0.744 0.757 0.500
Ni1 0.500 0.000 0.500
Rh1 0.000 0.500 0.500

Largest 10 diffraction maxima, most intense first, 2θ = 5–70°:
2theta	I/Imax
26.46	100
37.77	97
32.56	87
54.50	55
46.71	44
64.92	29
61.54	13
54.40	11
68.14	11
68.26	11

***

No. 7
The following is a theoretical XRD peak list of Ac2NiRu. It was derived from the PBE geometry in Alexandria, using λ = 1.5418 Å (Cu Kα).
Neutral-atom scattering factors, no anomalous dispersion.

Cell and atoms:
Cell lengths 4.253, 6.237, 6.237 Å; angles 39.09, 90.00, 90.00 degrees
Positions (direct):
Ac1 0.000 0.000 0.000
Ac2 0.500 0.276 0.276
Ni1 0.000 0.700 0.700
Ru1 0.500 0.572 0.572

Largest 10 diffraction maxima, most intense first, 2θ = 5–70°:
2theta	I/Imax
30.97	100
31.31	57
37.94	53
25.86	47
30.41	29
53.74	26
42.52	24
43.37	23
51.34	19
37.19	18

***

No. 8
The following is a theoretical XRD peak list of Ac5Ni2Ru. It was derived from the PBE geometry in Alexandria, using λ = 1.5418 Å (Cu Kα).
Neutral-atom scattering factors, no anomalous dispersion.

Cell and atoms:
Cell lengths 7.350, 7.350, 14.576 Å; angles 90.00, 90.00, 133.23 degrees
Positions (direct):
Ac1 0.052 0.948 0.620
Ac2 0.052 0.948 0.880
Ac3 0.261 0.739 0.250
Ac4 0.334 0.666 0.568
Ac5 0.334 0.666 0.932
Ac6 0.666 0.334 0.068
Ac7 0.666 0.334 0.432
Ac8 0.739 0.261 0.750
Ac9 0.948 0.052 0.120
Ac10 0.948 0.052 0.380
Ni1 0.152 0.848 0.058
Ni2 0.152 0.848 0.442
Ni3 0.848 0.152 0.558
Ni4 0.848 0.152 0.942
Ru1 0.204 0.796 0.750
Ru2 0.796 0.204 0.250

Largest 10 diffraction maxima, most intense first, 2θ = 5–70°:
2theta	I/Imax
30.65	100
24.74	94
32.31	82
45.14	74
27.84	73
25.75	51
25.00	50
16.55	41
41.87	38
29.65	31

***

No. 9
The following is a theoretical XRD peak list of Ac16Ni5Ru3. It was derived from the PBE geometry in Alexandria, using λ = 1.5418 Å (Cu Kα).
Neutral-atom scattering factors, no anomalous dispersion.

Cell and atoms:
Cell lengths 8.525, 8.525, 13.843 Å; angles 90.05, 90.05, 60.25 degrees
Positions (direct):
Ac1 0.000 0.000 0.000
Ac2 0.001 0.001 0.499
Ac3 0.020 0.491 0.007
Ac4 0.162 0.672 0.264
Ac5 0.166 0.166 0.266
Ac6 0.329 0.833 0.765
Ac7 0.337 0.337 0.768
Ac8 0.491 0.020 0.007
Ac9 0.492 0.492 0.010
Ac10 0.513 0.513 0.505
Ac11 0.513 0.983 0.510
Ac12 0.671 0.671 0.268
Ac13 0.672 0.162 0.264
Ac14 0.833 0.329 0.765
Ac15 0.836 0.836 0.767
Ac16 0.983 0.513 0.510
Ni1 0.168 0.168 0.883
Ni2 0.330 0.330 0.145
Ni3 0.336 0.835 0.383
Ni4 0.665 0.665 0.642
Ni5 0.835 0.336 0.383
Ru1 0.169 0.667 0.886
Ru2 0.667 0.169 0.886
Ru3 0.835 0.835 0.386

Largest 10 diffraction maxima, most intense first, 2θ = 5–70°:
2theta	I/Imax
27.36	100
31.00	38
42.41	25
24.94	23
25.74	23
40.72	20
46.38	16
50.28	15
42.25	13
51.10	12

***

No. 10
The following is a theoretical XRD peak list of Ac12NiRu4. It was derived from the PBE geometry in Alexandria, using λ = 1.5418 Å (Cu Kα).
Neutral-atom scattering factors, no anomalous dispersion.

Cell and atoms:
Cell lengths 9.613, 9.613, 9.613 Å; angles 109.66, 109.40, 109.35 degrees
Positions (direct):
Ac1 0.015 0.197 0.819
Ac2 0.183 0.302 0.485
Ac3 0.183 0.698 0.882
Ac4 0.317 0.008 0.691
Ac5 0.317 0.625 0.309
Ac6 0.378 0.197 0.181
Ac7 0.622 0.803 0.819
Ac8 0.683 0.375 0.691
Ac9 0.683 0.992 0.309
Ac10 0.817 0.302 0.118
Ac11 0.817 0.698 0.515
Ac12 0.985 0.803 0.181
Ni1 0.000 0.000 0.000
Ru1 0.000 0.000 0.500
Ru2 0.000 0.500 0.000
Ru3 0.500 0.000 0.000
Ru4 0.500 0.500 0.500

Largest 10 diffraction maxima, most intense first, 2θ = 5–70°:
2theta	I/Imax
25.38	100
30.12	74
47.75	39
15.97	31
50.67	25
27.84	20
36.16	20
39.78	19
50.76	18
47.85	15